[1]
Starting from a structure optimized by DFT (GGA-PBE), the powder X-ray diffraction pattern of Tm2Si3Os was simulated for CuKα.

Structural model:
```
data_Tm2Si3Os
_chemical_formula_sum 'Tm2 Si3 Os1'
_cell_length_a 5.4389
_cell_length_b 5.4389
_cell_length_c 6.8153
_cell_angle_alpha 126.65
_cell_angle_beta 126.65
_cell_angle_gamma 45.70
_space_group_name_H-M_alt 'P 1'
_space_group_IT_number 1
loop_
_space_group_symop_operation_xyz
'x,y,z'
loop_
_atom_site_label
_atom_site_fract_x
_atom_site_fract_y
_atom_site_fract_z
Tm1 0.0000 0.0000 0.0000
Tm2 0.1157 0.1157 0.6081
Si1 0.3725 0.3725 0.1901
Si2 0.6795 0.6795 0.9640
Si3 0.7385 0.7385 0.3957
Os1 0.3859 0.3859 0.5656
```

Top 10 peaks for 10° ≤ 2θ ≤ 90°, by angle:
2theta	Rel. int.
17.1	439
24.1	640
33.9	710
34.6	470
34.7	434
35.5	571
36.2	1000
38.3	375
41.4	504
42.8	490


[2]
Starting from a structure optimized by DFT (GGA-PBE), the powder X-ray diffraction pattern of CeErHgPb was simulated for CuKα.

Structural model:
```
data_CeErHgPb
_chemical_formula_sum 'Ce1 Er1 Hg1 Pb1'
_cell_length_a 5.5959
_cell_length_b 5.5959
_cell_length_c 5.5959
_cell_angle_alpha 126.15
_cell_angle_beta 126.15
_cell_angle_gamma 79.63
_space_group_name_H-M_alt 'P 1'
_space_group_IT_number 1
loop_
_space_group_symop_operation_xyz
'x,y,z'
loop_
_atom_site_label
_atom_site_fract_x
_atom_site_fract_y
_atom_site_fract_z
Ce1 0.0000 0.0000 0.0000
Er1 0.5000 0.5000 0.0000
Hg1 0.7500 0.2500 0.5000
Pb1 0.2500 0.7500 0.5000
```

Top 10 peaks for 10° ≤ 2θ ≤ 90°, by angle:
2theta	Rel. int.
32.5	1000
35.4	399
42.0	125
51.0	144
56.1	216
61.8	324
68.1	122
70.8	109
84.1	71
85.7	68


[3]
Starting from a structure optimized by DFT (GGA-PBE), the powder X-ray diffraction pattern of CsFe2BiI8 was simulated for CuKα.

Structural model:
```
data_CsFe2BiI8
_chemical_formula_sum 'Cs1 Fe2 Bi1 I8'
_cell_length_a 7.4472
_cell_length_b 7.4472
_cell_length_c 11.1841
_cell_angle_alpha 96.65
_cell_angle_beta 96.65
_cell_angle_gamma 69.16
_space_group_name_H-M_alt 'P 1'
_space_group_IT_number 1
loop_
_space_group_symop_operation_xyz
'x,y,z'
loop_
_atom_site_label
_atom_site_fract_x
_atom_site_fract_y
_atom_site_fract_z
Cs1 0.0000 0.0000 0.0000
Fe1 0.3857 0.3857 0.7088
Fe2 0.6143 0.6143 0.2912
Bi1 0.0000 0.0000 0.5000
I1 0.2361 0.7192 0.2940
I2 0.2546 0.2546 0.5037
I3 0.2808 0.7639 0.7060
I4 0.3113 0.3113 0.9109
I5 0.6887 0.6887 0.0891
I6 0.7192 0.2361 0.2940
I7 0.7454 0.7454 0.4963
I8 0.7639 0.2808 0.7060
```

Top 10 peaks for 10° ≤ 2θ ≤ 90°, by angle:
2theta	Rel. int.
14.5	721
21.3	497
24.4	471
25.7	331
26.4	383
26.5	1000
27.5	293
29.4	520
41.7	397
41.8	578


[4]
Starting from a structure optimized by DFT (GGA-PBE), the powder X-ray diffraction pattern of RbTaZn was simulated for CuKα.

Structural model:
```
data_RbTaZn
_chemical_formula_sum 'Rb2 Ta2 Zn2'
_cell_length_a 3.6472
_cell_length_b 4.1162
_cell_length_c 13.0536
_cell_angle_alpha 90.01
_cell_angle_beta 97.83
_cell_angle_gamma 90.00
_space_group_name_H-M_alt 'P 1'
_space_group_IT_number 1
loop_
_space_group_symop_operation_xyz
'x,y,z'
loop_
_atom_site_label
_atom_site_fract_x
_atom_site_fract_y
_atom_site_fract_z
Rb1 0.0000 0.0000 0.0000
Rb2 0.3339 0.5002 0.6573
Ta1 0.1204 0.4978 0.2536
Ta2 0.6937 0.4979 0.4035
Zn1 0.1989 0.9979 0.4148
Zn2 0.6162 0.9977 0.2448
```

Top 10 peaks for 10° ≤ 2θ ≤ 90°, by angle:
2theta	Rel. int.
13.7	240
20.6	148
22.7	278
25.7	140
26.5	147
34.5	381
34.7	232
37.2	1000
41.2	154
44.0	181


[5]
Starting from a structure optimized by DFT (GGA-PBE), the powder X-ray diffraction pattern of Ac8LaHo3 was simulated for CuKα.

Structural model:
```
data_Ac8LaHo3
_chemical_formula_sum 'Ac8 La1 Ho3'
_cell_length_a 9.6996
_cell_length_b 9.6996
_cell_length_c 10.6748
_cell_angle_alpha 123.05
_cell_angle_beta 123.05
_cell_angle_gamma 36.67
_space_group_name_H-M_alt 'P 1'
_space_group_IT_number 1
loop_
_space_group_symop_operation_xyz
'x,y,z'
loop_
_atom_site_label
_atom_site_fract_x
_atom_site_fract_y
_atom_site_fract_z
Ac1 0.0000 0.0000 0.0000
Ac2 0.0030 0.0030 0.6616
Ac3 0.2546 0.2546 0.9283
Ac4 0.3717 0.3717 0.6893
Ac5 0.5076 0.5076 0.1880
Ac6 0.6276 0.6276 0.9669
Ac7 0.7413 0.7413 0.7262
Ac8 0.8775 0.8775 0.2238
La1 0.1273 0.1273 0.4493
Ho1 0.2520 0.2520 0.2590
Ho2 0.4929 0.4929 0.4961
Ho3 0.7527 0.7527 0.4079
```

Top 10 peaks for 10° ≤ 2θ ≤ 90°, by angle:
2theta	Rel. int.
28.9	81
29.1	1000
29.3	233
41.6	97
41.7	91
48.3	61
51.3	72
51.7	183
57.2	64
57.5	141


[6]
Starting from a structure optimized by DFT (GGA-PBE), the powder X-ray diffraction pattern of Si23B was simulated for CuKα.

Structural model:
```
data_Si23B
_chemical_formula_sum 'Si46 B2'
_cell_length_a 10.2024
_cell_length_b 10.2024
_cell_length_c 10.2024
_cell_angle_alpha 90.00
_cell_angle_beta 90.00
_cell_angle_gamma 90.00
_space_group_name_H-M_alt 'P 1'
_space_group_IT_number 1
loop_
_space_group_symop_operation_xyz
'x,y,z'
loop_
_atom_site_label
_atom_site_fract_x
_atom_site_fract_y
_atom_site_fract_z
Si1 0.0000 0.1168 0.3078
Si2 0.0000 0.1168 0.6922
Si3 0.0000 0.2500 0.5000
Si4 0.0000 0.7500 0.5000
Si5 0.0000 0.8832 0.3078
Si6 0.0000 0.8832 0.6922
Si7 0.1168 0.3078 0.0000
Si8 0.1168 0.6922 0.0000
Si9 0.1827 0.1827 0.1827
Si10 0.1827 0.1827 0.8173
Si11 0.1827 0.8173 0.1827
Si12 0.1827 0.8173 0.8173
Si13 0.1922 0.3832 0.5000
Si14 0.1922 0.6168 0.5000
Si15 0.2500 0.5000 0.0000
Si16 0.3078 0.0000 0.1168
Si17 0.3078 0.0000 0.8832
Si18 0.3173 0.3173 0.3173
Si19 0.3173 0.3173 0.6827
Si20 0.3173 0.6827 0.3173
Si21 0.3173 0.6827 0.6827
Si22 0.3832 0.5000 0.1922
Si23 0.3832 0.5000 0.8078
Si24 0.5000 0.0000 0.2500
Si25 0.5000 0.0000 0.7500
Si26 0.5000 0.1922 0.3832
Si27 0.5000 0.1922 0.6168
Si28 0.5000 0.8078 0.3832
Si29 0.5000 0.8078 0.6168
Si30 0.6168 0.5000 0.1922
Si31 0.6168 0.5000 0.8078
Si32 0.6827 0.3173 0.3173
Si33 0.6827 0.3173 0.6827
Si34 0.6827 0.6827 0.3173
Si35 0.6827 0.6827 0.6827
Si36 0.6922 0.0000 0.1168
Si37 0.6922 0.0000 0.8832
Si38 0.7500 0.5000 0.0000
Si39 0.8078 0.3832 0.5000
Si40 0.8078 0.6168 0.5000
Si41 0.8173 0.1827 0.1827
Si42 0.8173 0.1827 0.8173
Si43 0.8173 0.8173 0.1827
Si44 0.8173 0.8173 0.8173
Si45 0.8832 0.3078 0.0000
Si46 0.8832 0.6922 0.0000
B1 0.0000 0.0000 0.0000
B2 0.5000 0.5000 0.5000
```

Top 10 peaks for 10° ≤ 2θ ≤ 90°, by angle:
2theta	Rel. int.
19.5	1000
21.3	563
30.3	282
31.6	238
32.8	941
36.3	340
40.5	319
52.3	804
53.1	283
55.5	467


[7]
Starting from a structure optimized by DFT (GGA-PBE), the powder X-ray diffraction pattern of Nd5NpN6 was simulated for CuKα.

Structural model:
```
data_Nd5NpN6
_chemical_formula_sum 'Nd5 Np1 N6'
_cell_length_a 6.2339
_cell_length_b 6.2339
_cell_length_c 6.2255
_cell_angle_alpha 99.64
_cell_angle_beta 99.64
_cell_angle_gamma 119.93
_space_group_name_H-M_alt 'P 1'
_space_group_IT_number 1
loop_
_space_group_symop_operation_xyz
'x,y,z'
loop_
_atom_site_label
_atom_site_fract_x
_atom_site_fract_y
_atom_site_fract_z
Nd1 0.0000 0.0000 0.0000
Nd2 0.1664 0.8336 0.5000
Nd3 0.3336 0.6664 0.0000
Nd4 0.6664 0.3336 0.0000
Nd5 0.8336 0.1664 0.5000
Np1 0.5000 0.5000 0.5000
N1 0.1229 0.4238 0.2714
N2 0.2745 0.2745 0.7332
N3 0.4238 0.1229 0.2714
N4 0.5762 0.8771 0.7286
N5 0.7255 0.7255 0.2668
N6 0.8771 0.5762 0.7286
```

Top 10 peaks for 10° ≤ 2θ ≤ 90°, by angle:
2theta	Rel. int.
30.4	340
30.4	1000
35.3	948
50.7	549
50.8	109
60.3	362
60.4	257
63.3	166
82.7	109
85.3	145